[1]
The following is a computed powder XRD pattern of YHoCd4. It was derived from the GGA-PBE geometry in OQMD, using Cu Kα (weighted mean of Kα1 and Kα2).
Peak positions follow from Bragg's law for the DFT cell and can differ from measured ones.

Largest 10 diffraction maxima, by intensity, 2θ from 5° to 70°:
33.5 deg, I 100, hkl 1 0 2; 36.4 deg, I 87, hkl 0 2 0; 50.3 deg, I 31, hkl 1 2 2; 66.3 deg, I 28, hkl 2 2 0; 63.6 deg, I 20, hkl 1 3 1; 63.7 deg, I 10, hkl 1 1 5; 65.4 deg, I 10, hkl 0 3 3; 53.4 deg, I 9, hkl 2 0 0; 45.2 deg, I 8, hkl 1 2 0; 26.0 deg, I 6, hkl 1 0 0

Atomic structure:
Cell lengths 3.4334, 4.9449, 8.5464 Å; angles 90.00, 90.00, 90.00 degrees
Space group Pmmm (No. 47)
Inequivalent atoms, fractional coordinates:
Y 0.0000 0.0000 0.0000 x1
Ho 0.0000 0.5000 0.5000 x1
Cd 0.5000 0.0000 0.3336 x2
Cd 0.5000 0.5000 0.1675 x2

---

[2]
The following is a computed powder XRD pattern of Nd4CI2Br3. It was derived from the GGA-PBE geometry in OQMD, using Cu Kα (weighted mean of Kα1 and Kα2).
Peak positions follow from Bragg's law for the DFT cell and can differ from measured ones.

Largest 10 diffraction maxima, by intensity, 2θ from 5° to 70°:
30.7 deg, I 100, hkl 1 1 -2; 28.8 deg, I 46, hkl 6 0 0; 10.7 deg, I 40, hkl 0 0 1; 32.8 deg, I 38, hkl 5 1 0; 42.7 deg, I 30, hkl 5 1 2; 42.5 deg, I 25, hkl 7 1 -2; 45.3 deg, I 19, hkl 0 2 0; 54.6 deg, I 16, hkl 6 2 0; 29.9 deg, I 16, hkl 3 1 1; 42.7 deg, I 14, hkl 2 0 -4

Atomic structure:
Cell lengths 19.0951, 4.0075, 8.4720 Å; angles 90.00, 103.29, 90.00 degrees
Space group C2/m (No. 12)
Inequivalent atoms, fractional coordinates:
Nd 0.0003 0.0000 0.2057 x4
Nd 0.1360 0.5000 0.0739 x4
C 0.0000 0.5000 0.0000 x2
I 0.1706 0.0000 0.8099 x4
Br 0.0000 0.5000 0.5000 x2
Br 0.1596 0.0000 0.3399 x4

---

[3]
The following is a computed powder XRD pattern of LuPdO3F. It was derived from the GGA-PBE geometry in OQMD, using Cu Kα (weighted mean of Kα1 and Kα2).
Peak positions follow from Bragg's law for the DFT cell and can differ from measured ones.

Largest 10 diffraction maxima, by intensity, 2θ from 5° to 70°:
27.6 deg, I 100, hkl 0 0 2; 26.9 deg, I 94, hkl 1 1 0; 31.5 deg, I 86, hkl 0 2 1; 31.9 deg, I 81, hkl 1 -1 1; 32.7 deg, I 37, hkl -1 1 1; 34.8 deg, I 35, hkl 0 2 -1; 42.4 deg, I 35, hkl -1 2 1; 32.4 deg, I 32, hkl 1 1 -1; 35.1 deg, I 32, hkl 1 1 2; 29.7 deg, I 32, hkl 0 1 2

Atomic structure:
Cell lengths 3.8207, 6.0277, 6.5788 Å; angles 81.94, 82.30, 83.97 degrees
Space group P-1 (No. 2)
Inequivalent atoms, fractional coordinates:
Lu 0.1679 0.4126 0.2544 x2
Pd 0.2583 0.1114 0.8230 x2
O 0.1224 0.3144 0.5800 x2
O 0.2402 0.9731 0.1346 x2
O 0.3043 0.4019 0.9101 x2
F 0.3045 0.7948 0.7066 x2

---

[4]
The following is a computed powder XRD pattern of Cu4Ag. It was derived from the GGA-PBE geometry in OQMD, using Cu Kα (weighted mean of Kα1 and Kα2).
Peak positions follow from Bragg's law for the DFT cell and can differ from measured ones.

Largest 10 diffraction maxima, by intensity, 2θ from 5° to 70°:
42.1 deg, I 100, hkl 1 1 0; 41.8 deg, I 88, hkl 0 1 5; 47.7 deg, I 62, hkl 1 0 5; 51.2 deg, I 27, hkl 0 2 0; 36.6 deg, I 12, hkl 0 1 4; 43.0 deg, I 8, hkl 1 0 4; 69.3 deg, I 5, hkl 0 0 10; 6.5 deg, I 5, hkl 0 0 1; 69.0 deg, I 3, hkl 1 2 4; 25.8 deg, I 3, hkl 0 1 1

Atomic structure:
Cell lengths 2.6854, 3.5687, 13.5586 Å; angles 90.00, 90.00, 90.00 degrees
Space group Pmmm (No. 47)
Inequivalent atoms, fractional coordinates:
Cu 0.0000 0.0000 0.0000 x1
Cu 0.0000 0.0000 0.1867 x2
Cu 0.5000 0.5000 0.0931 x2
Cu 0.5000 0.5000 0.2784 x2
Cu 0.5000 0.5000 0.5000 x1
Ag 0.0000 0.0000 0.3901 x2

---

[5]
The following is a computed powder XRD pattern of TeMoSe2SBr. It was derived from the GGA-PBE geometry in OQMD, using Cu Kα (weighted mean of Kα1 and Kα2).
Peak positions follow from Bragg's law for the DFT cell and can differ from measured ones.

Largest 10 diffraction maxima, by intensity, 2θ from 5° to 70°:
12.6 deg, I 100, hkl 0 1 -1; 28.2 deg, I 40, hkl 1 2 -1; 25.6 deg, I 27, hkl 1 -2 0; 46.8 deg, I 27, hkl 0 4 -1; 12.7 deg, I 22, hkl 0 0 1; 34.4 deg, I 12, hkl 1 2 -3; 32.0 deg, I 12, hkl -1 2 1; 41.9 deg, I 11, hkl -1 2 2; 42.0 deg, I 10, hkl 2 -1 2; 40.0 deg, I 10, hkl 2 0 -3

Atomic structure:
Cell lengths 6.4014, 8.1751, 8.3388 Å; angles 116.91, 104.66, 97.62 degrees
Space group P-1 (No. 2)
Inequivalent atoms, fractional coordinates:
Te 0.1322 0.3251 0.2332 x2
Mo 0.2265 0.0000 0.9994 x2
Se 0.0258 0.8504 0.1535 x2
Se 0.3973 0.9300 0.7214 x2
S 0.4695 0.7871 0.0182 x2
Br 0.2621 0.3694 0.5999 x2

---

[6]
The following is a computed powder XRD pattern of NaNdHgSe3. It was derived from the GGA-PBE geometry in OQMD, using Cu Kα (weighted mean of Kα1 and Kα2).
Peak positions follow from Bragg's law for the DFT cell and can differ from measured ones.

Largest 10 diffraction maxima, by intensity, 2θ from 5° to 70°:
12.8 deg, I 100, hkl 0 2 0; 32.7 deg, I 91, hkl 1 3 2; 29.6 deg, I 40, hkl 1 3 1; 27.0 deg, I 32, hkl 1 1 2; 31.6 deg, I 29, hkl 0 0 4; 42.1 deg, I 28, hkl 1 5 2; 45.9 deg, I 26, hkl 1 5 3; 34.2 deg, I 25, hkl 0 2 4; 42.5 deg, I 22, hkl 2 0 0; 53.5 deg, I 20, hkl 1 1 6

Atomic structure:
Cell lengths 4.2514, 13.8474, 11.3347 Å; angles 90.00, 90.00, 90.00 degrees
Space group Cmcm (No. 63)
Inequivalent atoms, fractional coordinates:
Na 0.0000 0.2403 0.2500 x4
Nd 0.0000 0.0000 0.0000 x4
Hg 0.0000 0.4655 0.7500 x4
Se 0.0000 0.0911 0.7500 x4
Se 0.0000 0.3566 0.5595 x8

---

Please write out number 5 again, unchanged.
The following is a computed powder XRD pattern of TeMoSe2SBr. It was derived from the GGA-PBE geometry in OQMD, using Cu Kα (weighted mean of Kα1 and Kα2).
Peak positions follow from Bragg's law for the DFT cell and can differ from measured ones.

Largest 10 diffraction maxima, by intensity, 2θ from 5° to 70°:
12.6 deg, I 100, hkl 0 1 -1; 28.2 deg, I 40, hkl 1 2 -1; 25.6 deg, I 27, hkl 1 -2 0; 46.8 deg, I 27, hkl 0 4 -1; 12.7 deg, I 22, hkl 0 0 1; 34.4 deg, I 12, hkl 1 2 -3; 32.0 deg, I 12, hkl -1 2 1; 41.9 deg, I 11, hkl -1 2 2; 42.0 deg, I 10, hkl 2 -1 2; 40.0 deg, I 10, hkl 2 0 -3

Atomic structure:
Cell lengths 6.4014, 8.1751, 8.3388 Å; angles 116.91, 104.66, 97.62 degrees
Space group P-1 (No. 2)
Inequivalent atoms, fractional coordinates:
Te 0.1322 0.3251 0.2332 x2
Mo 0.2265 0.0000 0.9994 x2
Se 0.0258 0.8504 0.1535 x2
Se 0.3973 0.9300 0.7214 x2
S 0.4695 0.7871 0.0182 x2
Br 0.2621 0.3694 0.5999 x2

---

Repeat the third record exactly.
The following is a computed powder XRD pattern of LuPdO3F. It was derived from the GGA-PBE geometry in OQMD, using Cu Kα (weighted mean of Kα1 and Kα2).
Peak positions follow from Bragg's law for the DFT cell and can differ from measured ones.

Largest 10 diffraction maxima, by intensity, 2θ from 5° to 70°:
27.6 deg, I 100, hkl 0 0 2; 26.9 deg, I 94, hkl 1 1 0; 31.5 deg, I 86, hkl 0 2 1; 31.9 deg, I 81, hkl 1 -1 1; 32.7 deg, I 37, hkl -1 1 1; 34.8 deg, I 35, hkl 0 2 -1; 42.4 deg, I 35, hkl -1 2 1; 32.4 deg, I 32, hkl 1 1 -1; 35.1 deg, I 32, hkl 1 1 2; 29.7 deg, I 32, hkl 0 1 2

Atomic structure:
Cell lengths 3.8207, 6.0277, 6.5788 Å; angles 81.94, 82.30, 83.97 degrees
Space group P-1 (No. 2)
Inequivalent atoms, fractional coordinates:
Lu 0.1679 0.4126 0.2544 x2
Pd 0.2583 0.1114 0.8230 x2
O 0.1224 0.3144 0.5800 x2
O 0.2402 0.9731 0.1346 x2
O 0.3043 0.4019 0.9101 x2
F 0.3045 0.7948 0.7066 x2